[1]
NaTlBrO5: theoretical powder diffractogram (CuKα), based on a crystal structure in Alexandria, relaxed with PBE.
Lines closer than 0.1° are merged.

Structure:
Unit cell a=7.919 b=9.628 c=7.537 alpha=90.00 beta=116.77 gamma=90.00
Space group C2/c (No. 15)
Symmetry-distinct sites (fractional):
Na 0.000 0.173 0.250 [4 per cell]
Tl 0.000 0.500 0.000 [4 per cell]
Br 0.000 0.182 0.750 [4 per cell]
O 0.000 0.414 0.250 [4 per cell]
O 0.113 0.260 0.607 [8 per cell]
O 0.161 0.069 0.914 [8 per cell]

Peak list (8 most intense, 10 to 90 degrees two-theta, in order of falling intensity)
d (Å)	2θ (°)	intensity	index
5.699	15.6	100	1 1 0
3.508	25.4	86	1 1 -2
2.922	30.6	75	1 3 0
3.535	25.2	71	2 0 0
2.758	32.5	51	0 2 2
2.458	36.6	34	3 1 -2
2.714	33.0	30	2 2 -2
1.900	47.9	25	3 3 0



[2]
CaInCl: theoretical powder diffractogram (CuKα), based on a crystal structure in Alexandria, relaxed with PBE.
Lines closer than 0.1° are merged.

Structure:
Unit cell a=3.7445 b=3.7445 c=8.3153 alpha=90.00 beta=90.00 gamma=120.00
Space group P3m1 (No. 156)
Symmetry-distinct sites (fractional):
Ca 0.0000 0.0000 0.0000 [1 per cell]
In 0.3333 0.6667 0.6882 [1 per cell]
Cl 0.6667 0.3333 0.1944 [1 per cell]

Peak list (8 most intense, 10 to 90 degrees two-theta, in order of falling intensity)
d (Å)	2θ (°)	intensity	index
3.021	29.6	100	1 0 1
2.557	35.1	48	0 1 2
8.315	10.6	41	0 0 1
2.107	42.9	27	0 1 3
4.158	21.4	27	0 0 2
1.872	48.6	20	1 1 0
3.243	27.5	16	1 0 0
1.591	57.9	14	0 2 1



[3]
Na2B3C: theoretical powder diffractogram (CuKα), based on a crystal structure in Alexandria, relaxed with PBE.
Lines closer than 0.1° are merged.

Structure:
Unit cell a=8.661 b=5.134 c=9.052 alpha=90.00 beta=108.66 gamma=90.00
Space group C2 (No. 5)
Symmetry-distinct sites (fractional):
Na 0.083 0.000 0.248 [4 per cell]
Na 0.085 0.500 0.753 [4 per cell]
Na 0.250 0.001 0.752 [4 per cell]
B 0.000 0.338 0.000 [2 per cell]
B 0.000 0.680 0.000 [2 per cell]
B 0.000 0.859 0.500 [2 per cell]
B 0.159 0.333 0.500 [4 per cell]
B 0.165 0.658 0.500 [4 per cell]
B 0.174 0.156 0.000 [4 per cell]
C 0.000 0.160 0.500 [2 per cell]
C 0.167 0.838 0.000 [4 per cell]

Peak list (8 most intense, 10 to 90 degrees two-theta, in order of falling intensity)
d (Å)	2θ (°)	intensity	index
2.170	41.6	100	3 1 1
2.203	41.0	48	0 2 2
2.144	42.1	36	0 0 4
1.472	63.2	18	3 3 -1
2.516	35.7	17	3 1 -1
1.214	78.9	17	3 3 3
1.243	76.7	12	3 1 5
2.567	35.0	11	0 2 0



[4]
CuAg8: theoretical powder diffractogram (CuKα), based on a crystal structure in Alexandria, relaxed with PBE.
Lines closer than 0.1° are merged.

Structure:
Unit cell a=10.311 b=10.311 c=2.978 alpha=90.00 beta=90.00 gamma=90.00
Space group I4/mmm (No. 139)
Symmetry-distinct sites (fractional):
Cu 0.000 0.000 0.000 [2 per cell]
Ag 0.000 0.333 0.000 [8 per cell]
Ag 0.159 0.159 0.500 [8 per cell]

Peak list (8 most intense, 10 to 90 degrees two-theta, in order of falling intensity)
d (Å)	2θ (°)	intensity	index
2.251	40.1	100	3 0 1
2.430	37.0	62	3 3 0
1.366	68.7	36	6 3 1
1.719	53.3	20	6 0 0
1.270	74.8	14	3 3 2
1.125	86.5	10	6 0 2
1.489	62.4	6	0 0 2
1.215	78.8	6	6 6 0